Starting from DFT lattice parameters and positions (PBE+U), the XRD peak list of Hf2Mn4O9 was computed for Cu Kα, 1.54184 Å.
Lines closer than 0.1° are merged.

Atomic structure:
```
data_Hf2Mn4O9
_chemical_formula_sum 'Hf8 Mn16 O36'
_symmetry_space_group_name_H-M 'C 1 2/c 1'
_symmetry_Int_Tables_number 15
_cell_length_a 9.4865
_cell_length_b 5.2129
_cell_length_c 14.3662
_cell_angle_alpha 90.00
_cell_angle_beta 92.74
_cell_angle_gamma 90.00
loop_
_symmetry_equiv_pos_as_xyz
'x,y,z'
'-x,-y,-z'
'-x,y,-z+1/2'
'x,-y,z+1/2'
'x+1/2,y+1/2,z'
'-x+1/2,-y+1/2,-z'
'-x+1/2,y+1/2,-z+1/2'
'x+1/2,-y+1/2,z+1/2'
loop_
_atom_site_label
_atom_site_type_symbol
_atom_site_fract_x
_atom_site_fract_y
_atom_site_fract_z
_atom_site_occupancy
Hf1 Hf 0.0000 0.0162 0.1427 1
Mn1 Mn 0.1643 0.5001 0.0112 1
Mn2 Mn 0.1732 0.4873 0.8032 1
O1 O 0.0000 0.3071 0.2500 1
O2 O 0.0228 0.3294 0.9233 1
O3 O 0.1385 0.1242 0.7493 1
O4 O 0.1713 0.1855 0.0859 1
O5 O 0.1758 0.2016 0.4212 1
```

Most intense lines, 10° ≤ 2θ ≤ 90°, most intense first:
- 31.35 deg, intensity 100, hkl 1 1 -4
- 33.16 deg, intensity 91, hkl 3 1 0
- 19.43 deg, intensity 76, hkl 1 1 0
- 32.03 deg, intensity 68, hkl 2 0 4
- 18.73 deg, intensity 40, hkl 2 0 0
- 34.41 deg, intensity 38, hkl 0 2 0
- 47.70 deg, intensity 34, hkl 2 2 4
- 60.84 deg, intensity 28, hkl 3 3 0
- 23.33 deg, intensity 23, hkl 1 1 2
- 44.83 deg, intensity 22, hkl 4 0 -4